No. 1
Diffraction record for TiP2O7. The PXRD pattern is simulated, not measured: it uses a DFT-relaxed cell (PBE, the Materials Project) and Cu Ka.

Principal peaks in the range 10° ≤ 2θ ≤ 90°, most intense first:
2theta, d/Å, Rel. int.
16.00, 5.540, 100
31.18, 2.869, 48
28.32, 3.151, 45
28.20, 3.165, 40
31.40, 2.849, 39
19.63, 4.523, 32
13.82, 6.409, 32
19.76, 4.494, 31
29.32, 3.046, 27
30.34, 2.946, 17

a b c (Å): 6.3408 6.4414 6.9492
angles (deg): 88.08 65.62 84.27
Fractional coordinates of all 20 atoms:
Ti (0.0876, 0.1617, 0.2907)
Ti (0.9124, 0.8383, 0.7093)
P (0.2354, 0.6375, 0.2589)
P (0.3393, 0.8833, 0.8550)
P (0.6607, 0.1167, 0.1450)
P (0.7646, 0.3625, 0.7411)
O (0.0584, 0.8306, 0.3838)
O (0.0863, 0.4488, 0.2757)
O (0.2113, 0.8486, 0.7168)
O (0.2308, 0.0795, 0.9956)
O (0.3038, 0.6939, 0.0139)
O (0.4008, 0.1137, 0.2814)
O (0.4338, 0.5909, 0.3144)
O (0.5662, 0.4091, 0.6856)
O (0.5992, 0.8863, 0.7186)
O (0.6962, 0.3061, 0.9861)
O (0.7692, 0.9205, 0.0044)
O (0.7887, 0.1514, 0.2832)
O (0.9137, 0.5512, 0.7243)
O (0.9416, 0.1694, 0.6162)

No. 2
Diffraction record for Y2IrPd. The PXRD pattern is simulated, not measured: it uses a DFT-relaxed cell (PBE, the Materials Project) and Cu Ka.

Principal peaks in the range 10° ≤ 2θ ≤ 90°, most intense first:
2theta, d/Å, Rel. int.
36.55, 2.458, 100
65.80, 1.419, 35
52.65, 1.738, 17
89.05, 1.099, 16
77.69, 1.229, 11
25.62, 3.477, 7
22.14, 4.014, 6
43.15, 2.096, 4
59.45, 1.555, 3
45.17, 2.007, 2

a b c (Å): 4.9165 4.9165 4.9165
angles (deg): 60.00 60.00 60.00
Fractional coordinates of all 4 atoms:
Y (0.2500, 0.2500, 0.2500)
Y (0.7500, 0.7500, 0.7500)
Ir (0.0000, 0.0000, 0.0000)
Pd (0.5000, 0.5000, 0.5000)